No. 1
The following is a computed X-ray powder pattern of Rb2VBr6Cl. It was derived from a cell relaxed with GGA-PBE, using Cu Kα.
Lines closer than 0.1° are merged.

Peak list (10 most intense, 2θ from 15° to 90°, by angle)
2θ (°)  intensity
22.13  39
24.79  42
27.19  49
28.74  100
29.26  81
29.50  38
30.31  56
32.05  56
32.96  44
33.47  36

Crystal structure
```
data_Rb2VBr6Cl
_chemical_formula_sum 'Rb2 V1 Br6 Cl1'
_cell_length_a 6.5944
_cell_length_b 7.1267
_cell_length_c 8.4725
_cell_angle_alpha 73.15
_cell_angle_beta 84.28
_cell_angle_gamma 87.17
_space_group_name_H-M_alt 'P 1'
_space_group_IT_number 1
loop_
_space_group_symop_operation_xyz
'x,y,z'
loop_
_atom_site_label
_atom_site_type_symbol
_atom_site_fract_x
_atom_site_fract_y
_atom_site_fract_z
_atom_site_occupancy
Rb1 Rb 0.0000 0.0000 0.0000 1
Rb2 Rb 0.4782 0.3531 0.2653 1
V1 V 0.6421 0.7425 0.6874 1
Br1 Br 0.3280 0.9030 0.5865 1
Br2 Br 0.4623 0.4362 0.8094 1
Br3 Br 0.5032 0.8251 0.9839 1
Br4 Br 0.7636 0.6676 0.4380 1
Br5 Br 0.7920 0.0614 0.6135 1
Br6 Br 0.9327 0.6024 0.8344 1
Cl1 Cl 0.9897 0.2736 0.2354 1
```

***

No. 2
The following is a computed X-ray powder pattern of RbVBr2Cl. It was derived from a cell relaxed with GGA-PBE, using Cu Kα.
Lines closer than 0.1° are merged.

Peak list (10 most intense, 2θ from 15° to 90°, by angle)
2θ (°)  intensity
17.73  13
24.37  30
29.63  100
33.54  73
35.90  30
41.89  14
48.16  25
49.94  45
57.57  29
61.51  23

Crystal structure
```
data_RbVBr2Cl
_chemical_formula_sum 'Rb1 V1 Br2 Cl1'
_cell_length_a 5.3438
_cell_length_b 5.3438
_cell_length_c 5.0034
_cell_angle_alpha 90.00
_cell_angle_beta 90.00
_cell_angle_gamma 90.00
_space_group_name_H-M_alt 'P 1'
_space_group_IT_number 1
loop_
_space_group_symop_operation_xyz
'x,y,z'
loop_
_atom_site_label
_atom_site_type_symbol
_atom_site_fract_x
_atom_site_fract_y
_atom_site_fract_z
_atom_site_occupancy
Rb1 Rb 0.0000 0.0000 0.0000 1
V1 V 0.5000 0.5000 0.5000 1
Br1 Br 0.0000 0.5000 0.5000 1
Br2 Br 0.5000 0.0000 0.5000 1
Cl1 Cl 0.5000 0.5000 0.0000 1
```

***

No. 3
The following is a computed X-ray powder pattern of ReBrCl6. It was derived from a cell relaxed with GGA-PBE, using Cu Kα.
Lines closer than 0.1° are merged.

Peak list (10 most intense, 2θ from 15° to 90°, by angle)
2θ (°)  intensity
16.42  13
17.33  100
23.01  16
27.86  38
27.98  14
35.07  12
36.44  14
37.30  14
41.62  13
50.64  11

Crystal structure
```
data_ReBrCl6
_chemical_formula_sum 'Re2 Br2 Cl12'
_cell_length_a 7.7429
_cell_length_b 7.7429
_cell_length_c 11.5710
_cell_angle_alpha 108.36
_cell_angle_beta 108.36
_cell_angle_gamma 57.25
_space_group_name_H-M_alt 'P 1'
_space_group_IT_number 1
loop_
_space_group_symop_operation_xyz
'x,y,z'
loop_
_atom_site_label
_atom_site_type_symbol
_atom_site_fract_x
_atom_site_fract_y
_atom_site_fract_z
_atom_site_occupancy
Re1 Re 0.0000 0.5000 0.0000 1
Re2 Re 0.5000 0.0000 0.5000 1
Br1 Br 0.0048 0.9952 0.2500 1
Br2 Br 0.9952 0.0048 0.7500 1
Cl1 Cl 0.0422 0.4899 0.8101 1
Cl2 Cl 0.1278 0.1398 0.4560 1
Cl3 Cl 0.1398 0.1278 0.9560 1
Cl4 Cl 0.3321 0.4484 0.0836 1
Cl5 Cl 0.4484 0.3321 0.5836 1
Cl6 Cl 0.4899 0.0422 0.3101 1
Cl7 Cl 0.5101 0.9578 0.6899 1
Cl8 Cl 0.5516 0.6679 0.4164 1
Cl9 Cl 0.6679 0.5516 0.9164 1
Cl10 Cl 0.8602 0.8722 0.0440 1
Cl11 Cl 0.8722 0.8602 0.5440 1
Cl12 Cl 0.9578 0.5101 0.1899 1
```

***

No. 4
The following is a computed X-ray powder pattern of ReBr4Cl4. It was derived from a cell relaxed with GGA-PBE, using Cu Kα.
Lines closer than 0.1° are merged.

Peak list (10 most intense, 2θ from 15° to 90°, by angle)
2θ (°)  intensity
20.41  100
22.91  62
32.57  70
32.88  54
34.21  95
37.56  67
38.82  94
49.22  70
51.55  54
53.73  53

Crystal structure
```
data_ReBr4Cl4
_chemical_formula_sum 'Re2 Br8 Cl8'
_cell_length_a 8.7012
_cell_length_b 8.7012
_cell_length_c 8.6055
_cell_angle_alpha 90.00
_cell_angle_beta 90.00
_cell_angle_gamma 90.00
_space_group_name_H-M_alt 'P 1'
_space_group_IT_number 1
loop_
_space_group_symop_operation_xyz
'x,y,z'
loop_
_atom_site_label
_atom_site_type_symbol
_atom_site_fract_x
_atom_site_fract_y
_atom_site_fract_z
_atom_site_occupancy
Re1 Re 0.2500 0.7500 0.2500 1
Re2 Re 0.7500 0.2500 0.7500 1
Br1 Br 0.0903 0.7500 0.5116 1
Br2 Br 0.2500 0.5903 0.9884 1
Br3 Br 0.2500 0.9097 0.9884 1
Br4 Br 0.4097 0.7500 0.5116 1
Br5 Br 0.5903 0.2500 0.4884 1
Br6 Br 0.7500 0.0903 0.0116 1
Br7 Br 0.7500 0.4097 0.0116 1
Br8 Br 0.9097 0.2500 0.4884 1
Cl1 Cl 0.0159 0.2500 0.8111 1
Cl2 Cl 0.2500 0.0159 0.3111 1
Cl3 Cl 0.2500 0.4841 0.3111 1
Cl4 Cl 0.4841 0.2500 0.8111 1
Cl5 Cl 0.5159 0.7500 0.1889 1
Cl6 Cl 0.7500 0.5159 0.6889 1
Cl7 Cl 0.7500 0.9841 0.6889 1
Cl8 Cl 0.9841 0.7500 0.1889 1
```

***

No. 5
The following is a computed X-ray powder pattern of ReBr3Cl2. It was derived from a cell relaxed with GGA-PBE, using Cu Kα.
Lines closer than 0.1° are merged.

Peak list (10 most intense, 2θ from 15° to 90°, by angle)
2θ (°)  intensity
15.08  42
17.75  100
19.04  46
21.99  36
25.28  25
28.08  20
30.17  35
36.21  36
41.38  19
46.38  24

Crystal structure
```
data_ReBr3Cl2
_chemical_formula_sum 'Re2 Br6 Cl4'
_cell_length_a 7.4172
_cell_length_b 7.4172
_cell_length_c 9.8683
_cell_angle_alpha 105.98
_cell_angle_beta 105.98
_cell_angle_gamma 66.04
_space_group_name_H-M_alt 'P 1'
_space_group_IT_number 1
loop_
_space_group_symop_operation_xyz
'x,y,z'
loop_
_atom_site_label
_atom_site_type_symbol
_atom_site_fract_x
_atom_site_fract_y
_atom_site_fract_z
_atom_site_occupancy
Re1 Re 0.2221 0.7779 0.7500 1
Re2 Re 0.7779 0.2221 0.2500 1
Br1 Br 0.0593 0.6084 0.8369 1
Br2 Br 0.0705 0.9295 0.2500 1
Br3 Br 0.3916 0.9407 0.6631 1
Br4 Br 0.6084 0.0593 0.3369 1
Br5 Br 0.9295 0.0705 0.7500 1
Br6 Br 0.9407 0.3916 0.1631 1
Cl1 Cl 0.2538 0.5415 0.5531 1
Cl2 Cl 0.4585 0.7462 0.9469 1
Cl3 Cl 0.5415 0.2538 0.0531 1
Cl4 Cl 0.7462 0.4585 0.4469 1
```

***

No. 6
The following is a computed X-ray powder pattern of RuBr3Cl. It was derived from a cell relaxed with GGA-PBE, using Cu Kα.
Lines closer than 0.1° are merged.

Peak list (10 most intense, 2θ from 15° to 90°, by angle)
2θ (°)  intensity
16.51  100
19.64  23
23.51  27
27.85  31
29.75  56
36.86  26
40.37  26
40.63  20
48.07  23
55.80  20

Crystal structure
```
data_RuBr3Cl
_chemical_formula_sum 'Ru2 Br6 Cl2'
_cell_length_a 4.8772
_cell_length_b 5.9991
_cell_length_c 12.0375
_cell_angle_alpha 89.94
_cell_angle_beta 89.96
_cell_angle_gamma 89.97
_space_group_name_H-M_alt 'P 1'
_space_group_IT_number 1
loop_
_space_group_symop_operation_xyz
'x,y,z'
loop_
_atom_site_label
_atom_site_type_symbol
_atom_site_fract_x
_atom_site_fract_y
_atom_site_fract_z
_atom_site_occupancy
Ru1 Ru 0.2495 0.1937 0.2496 1
Ru2 Ru 0.7505 0.8063 0.7504 1
Br1 Br 0.2500 0.2546 0.0521 1
Br2 Br 0.2497 0.2547 0.4471 1
Br3 Br 0.2505 0.6908 0.7504 1
Br4 Br 0.7495 0.3092 0.2496 1
Br5 Br 0.7503 0.7453 0.5529 1
Br6 Br 0.7500 0.7454 0.9479 1
Cl1 Cl 0.2492 0.8222 0.2497 1
Cl2 Cl 0.7508 0.1778 0.7503 1
```

***

No. 7
The following is a computed X-ray powder pattern of RuS2BrCl. It was derived from a cell relaxed with GGA-PBE, using Cu Kα.
Lines closer than 0.1° are merged.

Peak list (10 most intense, 2θ from 15° to 90°, by angle)
2θ (°)  intensity
19.32  18
26.58  100
27.45  50
36.65  39
39.22  64
46.39  24
48.01  40
54.75  46
56.67  21
69.40  22

Crystal structure
```
data_RuS2BrCl
_chemical_formula_sum 'Ru1 S2 Br1 Cl1'
_cell_length_a 4.5944
_cell_length_b 4.5944
_cell_length_c 4.9043
_cell_angle_alpha 90.00
_cell_angle_beta 90.00
_cell_angle_gamma 90.00
_space_group_name_H-M_alt 'P 1'
_space_group_IT_number 1
loop_
_space_group_symop_operation_xyz
'x,y,z'
loop_
_atom_site_label
_atom_site_type_symbol
_atom_site_fract_x
_atom_site_fract_y
_atom_site_fract_z
_atom_site_occupancy
Ru1 Ru 0.0000 0.0000 0.0000 1
S1 S 0.0000 0.5000 0.0000 1
S2 S 0.5000 0.0000 0.0000 1
Br1 Br 0.5000 0.5000 0.5000 1
Cl1 Cl 0.0000 0.0000 0.5000 1
```

***

No. 8
The following is a computed X-ray powder pattern of Tl8SBr3Cl3. It was derived from a cell relaxed with GGA-PBE, using Cu Kα.
Lines closer than 0.1° are merged.

Peak list (10 most intense, 2θ from 15° to 90°, by angle)
2θ (°)  intensity
23.06  16
23.50  51
27.07  100
38.38  36
38.93  38
45.73  15
48.06  19
55.82  11
62.73  13
63.50  16

Crystal structure
```
data_Tl8SBr3Cl3
_chemical_formula_sum 'Tl8 S1 Br3 Cl3'
_cell_length_a 9.2579
_cell_length_b 9.2579
_cell_length_c 9.3905
_cell_angle_alpha 119.62
_cell_angle_beta 119.62
_cell_angle_gamma 59.91
_space_group_name_H-M_alt 'P 1'
_space_group_IT_number 1
loop_
_space_group_symop_operation_xyz
'x,y,z'
loop_
_atom_site_label
_atom_site_type_symbol
_atom_site_fract_x
_atom_site_fract_y
_atom_site_fract_z
_atom_site_occupancy
Tl1 Tl 0.2294 0.2294 0.7220 1
Tl2 Tl 0.2296 0.7632 0.7221 1
Tl3 Tl 0.2368 0.7704 0.2779 1
Tl4 Tl 0.2537 0.2537 0.2614 1
Tl5 Tl 0.7463 0.7463 0.7386 1
Tl6 Tl 0.7632 0.2296 0.7221 1
Tl7 Tl 0.7704 0.2368 0.2779 1
Tl8 Tl 0.7706 0.7706 0.2780 1
S1 S 0.0000 0.0000 0.5000 1
Br1 Br 0.0000 0.0000 0.0000 1
Br2 Br 0.0000 0.5000 0.0000 1
Br3 Br 0.5000 0.0000 0.0000 1
Cl1 Cl 0.0000 0.5000 0.5000 1
Cl2 Cl 0.5000 0.0000 0.5000 1
Cl3 Cl 0.5000 0.5000 0.5000 1
```